Structure and simulated XRD peak list of La8Ru3Pt (a structure optimized by DFT (PBE); Cu Kα (λ = 1.5418 Å)).
Neutral-atom scattering factors, no anomalous dispersion.

Atomic structure:
Lattice parameters (Å, degrees): 9.1484 9.1484 9.2014 107.48 107.48 36.44
Fractional positions:
La 0.0000 0.0000 0.0000
La 0.1058 0.1058 0.6408
La 0.2147 0.2147 0.3309
La 0.3144 0.3144 0.9954
La 0.4261 0.4261 0.6506
La 0.5381 0.5381 0.3081
La 0.7728 0.7728 0.6776
La 0.8811 0.8811 0.3149
Ru 0.0519 0.0519 0.2847
Ru 0.2606 0.2606 0.6864
Ru 0.3614 0.3614 0.2893
Pt 0.9421 0.9421 0.6667

Largest 10 diffraction maxima, in order of rising 2θ, 10 to 90 degrees two-theta:
| two_theta | I_rel |
| --- | --- |
| 10.73 | 53 |
| 16.40 | 63 |
| 26.73 | 85 |
| 30.73 | 91 |
| 30.87 | 93 |
| 31.27 | 100 |
| 44.11 | 63 |
| 44.41 | 66 |
| 44.52 | 68 |
| 55.07 | 64 |

=====

Structure and simulated XRD peak list of La14Ru3Pt6 (a structure optimized by DFT (PBE); Cu Kα (λ = 1.5418 Å)).
Neutral-atom scattering factors, no anomalous dispersion.

Atomic structure:
Lattice parameters (Å, degrees): 10.2594 10.2594 7.2620 90.00 90.00 120.00
Fractional positions:
La 0.0000 0.0000 0.0000
La 0.0785 0.5392 0.7221
La 0.1993 0.3986 0.2422
La 0.1993 0.8007 0.2422
La 0.2504 0.1252 0.5798
La 0.4186 0.2093 0.0717
La 0.4608 0.5392 0.7221
La 0.4608 0.9215 0.7221
La 0.6014 0.8007 0.2422
La 0.6667 0.3333 0.4883
La 0.7907 0.2093 0.0717
La 0.7907 0.5814 0.0717
La 0.8748 0.1252 0.5798
La 0.8748 0.7496 0.5798
Ru 0.0000 0.0000 0.3619
Ru 0.3333 0.6667 0.4695
Ru 0.6667 0.3333 0.8592
Pt 0.1478 0.2956 0.8392
Pt 0.1478 0.8522 0.8392
Pt 0.5176 0.0352 0.3320
Pt 0.5176 0.4824 0.3320
Pt 0.7044 0.8522 0.8392
Pt 0.9648 0.4824 0.3320

Largest 10 diffraction maxima, in order of rising 2θ, 10 to 90 degrees two-theta:
| two_theta | I_rel |
| --- | --- |
| 23.48 | 37 |
| 29.30 | 96 |
| 30.16 | 31 |
| 31.83 | 93 |
| 32.65 | 56 |
| 34.98 | 100 |
| 42.54 | 79 |
| 48.59 | 42 |
| 56.21 | 29 |
| 69.32 | 30 |

=====

Structure and simulated XRD peak list of La4RuPt (a structure optimized by DFT (PBE); Cu Kα (λ = 1.5418 Å)).
Neutral-atom scattering factors, no anomalous dispersion.

Atomic structure:
Lattice parameters (Å, degrees): 7.1639 7.2414 8.5449 111.15 114.75 90.27
Fractional positions:
La 0.0741 0.0405 0.2346
La 0.1592 0.5415 0.2362
La 0.3281 0.3535 0.7377
La 0.4115 0.8538 0.7385
La 0.5885 0.1462 0.2615
La 0.6719 0.6465 0.2623
La 0.8408 0.4585 0.7638
La 0.9259 0.9595 0.7654
Ru 0.0000 0.0000 0.5000
Ru 0.5000 0.5000 0.5000
Pt 0.2677 0.7497 0.0002
Pt 0.7323 0.2503 0.9998

Largest 10 diffraction maxima, in order of rising 2θ, 10 to 90 degrees two-theta:
| two_theta | I_rel |
| --- | --- |
| 20.94 | 54 |
| 22.00 | 53 |
| 28.72 | 29 |
| 34.07 | 43 |
| 35.21 | 39 |
| 35.38 | 38 |
| 35.57 | 100 |
| 36.74 | 50 |
| 51.38 | 20 |
| 65.58 | 15 |